Computed X-ray diffraction stick pattern of Sr6Ti3FeO14 for λ = 1.5418 Å (Cu Kα), from a crystal structure in Alexandria, relaxed with PBE+U.
Kinematic intensities with the Lorentz-polarization factor, no thermal factor.

Main lines, low angle first (10° ≤ 2θ ≤ 90°):
- 31.6°, rel. 100, hkl 1 0 5
- 32.2°, rel. 68, hkl 1 1 0
- 41.9°, rel. 28, hkl 1 1 6
- 44.4°, rel. 16, hkl 0 0 10
- 46.1°, rel. 48, hkl 2 0 0
- 55.8°, rel. 15, hkl 1 1 10
- 57.0°, rel. 37, hkl 2 1 5
- 65.9°, rel. 17, hkl 2 0 10
- 67.3°, rel. 15, hkl 2 2 0
- 84.2°, rel. 13, hkl 2 2 10

Structure:
abc: 3.9366 3.9366 20.4229
angles: 90.00 90.00 90.00
Space group P4mm (No. 99)
Unique sites:
Sr 0.0000 0.0000 0.0000 (multiplicity 1)
Sr 0.0000 0.0000 0.1789 (multiplicity 1)
Sr 0.0000 0.0000 0.8139 (multiplicity 1)
Sr 0.5000 0.5000 0.3116 (multiplicity 1)
Sr 0.5000 0.5000 0.4968 (multiplicity 1)
Sr 0.5000 0.5000 0.6816 (multiplicity 1)
Ti 0.0000 0.0000 0.3985 (multiplicity 1)
Ti 0.0000 0.0000 0.5948 (multiplicity 1)
Ti 0.5000 0.5000 0.9004 (multiplicity 1)
Fe 0.5000 0.5000 0.0945 (multiplicity 1)
O 0.0000 0.0000 0.3022 (multiplicity 1)
O 0.0000 0.0000 0.4969 (multiplicity 1)
O 0.0000 0.0000 0.6917 (multiplicity 1)
O 0.0000 0.5000 0.0931 (multiplicity 2)
O 0.0000 0.5000 0.4001 (multiplicity 2)
O 0.0000 0.5000 0.5937 (multiplicity 2)
O 0.0000 0.5000 0.9017 (multiplicity 2)
O 0.5000 0.5000 0.1900 (multiplicity 1)
O 0.5000 0.5000 0.8046 (multiplicity 1)
O 0.5000 0.5000 0.9987 (multiplicity 1)